# BaH8O5
Computed XRD peak list, CuKα. Input: a structure optimized by DFT (GGA-PBE).

The 10 most intense peaks (5° ≤ 2θ ≤ 70°), by angle:
| h k l | Position (°2θ) | d_spacing | I/Imax |
| --- | --- | --- | --- |
| 0 2 0 | 15.4 | 5.752 | 97.2 |
| 0 1 1 | 16.6 | 5.334 | 40.2 |
| 1 0 1 | 18.8 | 4.725 | 80.2 |
| 1 2 1 | 24.4 | 3.651 | 100.0 |
| 2 2 0 | 28.1 | 3.179 | 55.6 |
| 1 1 2 | 32.9 | 2.720 | 61.6 |
| 2 3 1 | 36.4 | 2.467 | 38.1 |
| 1 4 1 | 36.6 | 2.457 | 38.1 |
| 2 4 0 | 39.2 | 2.296 | 67.2 |
| 1 5 2 | 51.4 | 1.777 | 41.2 |

Atomic structure:
Cell: 7.6273 11.5043 6.0200 Å, 90.00 90.00 90.00°
Space group Pnma (No. 62)
Symmetry-distinct sites (fractional):
Ba: 0.0442 0.2500 0.0792 (multiplicity 4)
H: 0.0343 0.5284 0.2615 (multiplicity 8)
H: 0.0388 0.6813 0.3984 (multiplicity 8)
H: 0.1738 0.0845 0.5176 (multiplicity 8)
H: 0.1961 0.5235 0.8324 (multiplicity 8)
O: 0.0648 0.0820 0.7513 (multiplicity 8)
O: 0.0949 0.7500 0.4772 (multiplicity 4)
O: 0.2328 0.0962 0.3670 (multiplicity 8)